Starting from the GGA-PBE geometry in the Materials Project, the powder diffraction line list of Cr21W2C6 was calculated for Cu Kα (weighted mean of Kα1 and Kα2).
Lines closer than 0.1° are merged.

Structure:
```
29
Lattice="0.0000 5.3248 5.3248 5.3248 0.0000 5.3248 5.3248 5.3248 0.0000" Properties=species:S:1:pos:R:3 pbc="T T T"
Cr 0.0000 0.0000 0.0000
Cr 1.7976 1.7976 0.0000
Cr 3.5271 3.5271 0.0000
Cr 1.7976 0.0000 1.7976
Cr 5.3248 3.5271 1.7976
Cr 3.5271 0.0000 3.5271
Cr 5.3248 1.7976 3.5271
Cr 6.5518 4.0978 4.0978
Cr 0.0000 1.7976 1.7976
Cr 3.5271 5.3248 1.7976
Cr 3.5271 1.7976 5.3248
Cr 4.0978 4.0978 4.0978
Cr 6.5518 6.5518 4.0978
Cr 6.5518 4.0978 6.5518
Cr 4.0978 6.5518 4.0978
Cr 4.0978 4.0978 6.5518
Cr 6.5518 6.5518 6.5518
Cr 0.0000 3.5271 3.5271
Cr 1.7976 5.3248 3.5271
Cr 1.7976 3.5271 5.3248
Cr 4.0978 6.5518 6.5518
W 2.6624 2.6624 2.6624
W 7.9872 7.9872 7.9872
C 5.3248 5.3248 2.9309
C 5.3248 2.9309 5.3248
C 7.7187 5.3248 5.3248
C 2.9309 5.3248 5.3248
C 5.3248 7.7187 5.3248
C 5.3248 5.3248 7.7187
```

Principal peaks in the range 2θ = 10–80°, low angle first:
d = 5.325 Å, I = 40
d = 3.765 Å, I = 35
d = 2.381 Å, I = 100
d = 2.174 Å, I = 91
d = 2.050 Å, I = 95
d = 1.883 Å, I = 49
d = 1.800 Å, I = 25
d = 1.605 Å, I = 31
d = 1.291 Å, I = 29
d = 1.255 Å, I = 44